(1)
This entry pairs a crystal structure of Na2TeIO6 with its calculated powder diffraction line list. Radiation: Cu Kα, 1.54184 Å. Structure: a structure optimized by DFT (GGA-PBE).

Main lines, in order of falling intensity (2θ = 5–70°):
d_spacing, 2theta, I_rel
3.068, 29.10, 1000
4.060, 21.89, 801
4.686, 18.94, 623
2.030, 44.65, 592
2.871, 31.16, 410
1.693, 54.18, 350
1.815, 50.26, 345
1.435, 64.98, 264
1.863, 48.90, 192
2.343, 38.42, 159

Crystal structure
Lattice parameters (Å, degrees): 5.7412 5.7412 4.6857 90.00 90.00 90.00
Positions (direct):
Na1 0.0000 0.5000 0.0000
Na2 0.5000 0.0000 0.0000
Te1 0.0000 0.0000 0.5862
I1 0.5000 0.5000 0.6075
O1 0.0000 0.0000 0.1896
O2 0.2499 0.2499 0.6749
O3 0.2499 0.7501 0.6749
O4 0.5000 0.5000 0.2187
O5 0.7501 0.2499 0.6749
O6 0.7501 0.7501 0.6749



(2)
This entry pairs a crystal structure of CePrPtSe with its calculated powder diffraction line list. Radiation: Cu Kα, 1.54184 Å. Structure: a structure optimized by DFT (GGA-PBE).

Main lines, in order of falling intensity (2θ = 5–70°):
d_spacing, 2theta, I_rel
3.000, 29.78, 1000
2.180, 41.43, 394
2.068, 43.78, 354
1.703, 53.85, 191
7.326, 12.08, 171
1.371, 68.43, 167
1.500, 61.85, 121
1.831, 49.79, 72
2.361, 38.12, 56
3.535, 25.20, 51

Crystal structure
Lattice parameters (Å, degrees): 7.7049 7.7049 7.7049 31.13 31.13 31.13
Positions (direct):
Ce1 0.0000 0.0000 0.0000
Pr1 0.5111 0.5111 0.5111
Pt1 0.2596 0.2596 0.2596
Se1 0.7541 0.7541 0.7541



(3)
This entry pairs a crystal structure of Sc5Cl3 with its calculated powder diffraction line list. Radiation: Cu Kα, 1.54184 Å. Structure: a structure optimized by DFT (GGA-PBE).

Main lines, in order of falling intensity (2θ = 5–70°):
d_spacing, 2theta, I_rel
2.372, 37.94, 1000
2.329, 38.66, 660
2.604, 34.44, 382
2.296, 39.23, 244
1.543, 59.96, 225
2.652, 33.80, 173
2.873, 31.13, 168
1.477, 62.92, 140
1.635, 56.26, 100
2.206, 40.90, 95

Crystal structure
Lattice parameters (Å, degrees): 7.9553 7.9553 5.7457 90.00 90.00 120.00
Positions (direct):
Sc1 0.0000 0.2367 0.2500
Sc2 0.0000 0.7633 0.7500
Sc3 0.2367 0.0000 0.2500
Sc4 0.2367 0.2367 0.7500
Sc5 0.3333 0.6667 0.0000
Sc6 0.3333 0.6667 0.5000
Sc7 0.6667 0.3333 0.0000
Sc8 0.6667 0.3333 0.5000
Sc9 0.7633 0.0000 0.7500
Sc10 0.7633 0.7633 0.2500
Cl1 0.0000 0.4152 0.7500
Cl2 0.0000 0.5848 0.2500
Cl3 0.4152 0.0000 0.7500
Cl4 0.4152 0.4152 0.2500
Cl5 0.5848 0.0000 0.2500
Cl6 0.5848 0.5848 0.7500



(4)
This entry pairs a crystal structure of NaTi2P3O12 with its calculated powder diffraction line list. Radiation: Cu Kα, 1.54184 Å. Structure: a structure optimized by DFT (GGA-PBE).

Main lines, in order of falling intensity (2θ = 5–70°):
d_spacing, 2theta, I_rel
3.715, 23.95, 1000
2.795, 32.03, 589
4.308, 20.62, 340
3.088, 28.91, 227
4.430, 20.04, 222
2.487, 36.12, 157
1.858, 49.04, 156
6.176, 14.34, 140
1.970, 46.08, 139
1.628, 56.52, 126

Crystal structure
Lattice parameters (Å, degrees): 8.8668 8.8668 8.8668 58.13 58.13 58.13
Positions (direct):
Na1 0.0000 0.0000 0.0000
Na2 0.5000 0.5000 0.5000
Ti1 0.1446 0.1446 0.1446
Ti2 0.3554 0.3554 0.3554
Ti3 0.6446 0.6446 0.6446
Ti4 0.8554 0.8554 0.8554
P1 0.0372 0.7500 0.4628
P2 0.2500 0.5372 0.9628
P3 0.4628 0.0372 0.7500
P4 0.5372 0.9628 0.2500
P5 0.7500 0.4628 0.0372
P6 0.9628 0.2500 0.5372
O1 0.0030 0.7865 0.6324
O2 0.0604 0.9230 0.2799
O3 0.0770 0.7201 0.9396
O4 0.1324 0.2865 0.5030
O5 0.2135 0.3676 0.9970
O6 0.2201 0.5770 0.4396
O7 0.2799 0.0604 0.9230
O8 0.2865 0.5030 0.1324
O9 0.3676 0.9970 0.2135
O10 0.4230 0.5604 0.7799
O11 0.4396 0.2201 0.5770
O12 0.4970 0.8676 0.7135
O13 0.5030 0.1324 0.2865
O14 0.5604 0.7799 0.4230
O15 0.5770 0.4396 0.2201
O16 0.6324 0.0030 0.7865
O17 0.7135 0.4970 0.8676
O18 0.7201 0.9396 0.0770
O19 0.7799 0.4230 0.5604
O20 0.7865 0.6324 0.0030
O21 0.8676 0.7135 0.4970
O22 0.9230 0.2799 0.0604
O23 0.9396 0.0770 0.7201
O24 0.9970 0.2135 0.3676



(5)
This entry pairs a crystal structure of SrAg2AsO4 with its calculated powder diffraction line list. Radiation: Cu Kα, 1.54184 Å. Structure: a structure optimized by DFT (GGA-PBE).

Main lines, in order of falling intensity (2θ = 5–70°):
d_spacing, 2theta, I_rel
2.653, 33.78, 1000
3.195, 27.92, 395
3.124, 28.57, 364
2.234, 40.38, 345
1.720, 53.25, 294
1.698, 54.01, 284
1.357, 69.22, 107
1.422, 65.63, 81
1.403, 66.64, 76
1.465, 63.48, 73

Crystal structure
Lattice parameters (Å, degrees): 5.5542 5.5542 5.5542 111.54 109.76 107.14
Positions (direct):
Sr1 0.0000 0.0000 0.0000
Ag1 0.2281 0.7281 0.5000
Ag2 0.7719 0.2719 0.5000
As1 0.5000 0.5000 0.0000
O1 0.1819 0.1770 0.6876
O2 0.4894 0.4943 0.3124
O3 0.5106 0.8230 0.0049
O4 0.8181 0.5057 0.9951



(6)
This entry pairs a crystal structure of PmPd6Au with its calculated powder diffraction line list. Radiation: Cu Kα, 1.54184 Å. Structure: a structure optimized by DFT (GGA-PBE).

Main lines, in order of falling intensity (2θ = 5–70°):
d_spacing, 2theta, I_rel
2.364, 38.06, 1000
2.031, 44.61, 317
1.454, 64.05, 213
2.081, 43.48, 172
1.436, 64.92, 102
4.063, 21.88, 32
2.907, 30.75, 29
5.746, 15.42, 20
4.163, 21.35, 17
2.873, 31.13, 14

Crystal structure
Lattice parameters (Å, degrees): 5.7456 5.7456 4.1626 90.00 90.00 90.00
Positions (direct):
Pm1 0.0000 0.0000 0.0000
Pd1 0.0000 0.5000 0.0000
Pd2 0.2571 0.2571 0.5000
Pd3 0.2571 0.7429 0.5000
Pd4 0.5000 0.0000 0.0000
Pd5 0.7429 0.2571 0.5000
Pd6 0.7429 0.7429 0.5000
Au1 0.5000 0.5000 0.0000



(7)
This entry pairs a crystal structure of Tl2Ga3Sn5 with its calculated powder diffraction line list. Radiation: Cu Kα, 1.54184 Å. Structure: a structure optimized by DFT (GGA-PBE).

Main lines, in order of falling intensity (2θ = 5–70°):
d_spacing, 2theta, I_rel
2.961, 30.18, 1000
2.528, 35.51, 615
3.038, 29.40, 514
2.015, 44.99, 215
1.946, 46.68, 164
1.902, 47.81, 159
1.519, 61.00, 145
1.552, 59.58, 140
1.823, 50.03, 124
1.588, 58.10, 101

Crystal structure
Lattice parameters (Å, degrees): 9.6270 9.6270 9.6270 110.43 86.44 135.49
Positions (direct):
Tl1 0.1290 0.2476 0.3766
Tl2 0.3710 0.7476 0.1186
Tl3 0.6290 0.2524 0.8814
Tl4 0.8710 0.7524 0.6234
Ga1 0.1226 0.6246 0.7472
Ga2 0.2500 0.2500 0.0000
Ga3 0.3774 0.1246 0.5020
Ga4 0.6226 0.8754 0.4980
Ga5 0.7500 0.7500 0.0000
Ga6 0.8774 0.3754 0.2528
Sn1 0.0043 0.7500 0.2543
Sn2 0.1140 0.8678 0.9818
Sn3 0.2500 0.7500 0.5000
Sn4 0.3860 0.3678 0.7538
Sn5 0.4957 0.7500 0.7457
Sn6 0.5043 0.2500 0.2543
Sn7 0.6140 0.6322 0.2462
Sn8 0.7500 0.2500 0.5000
Sn9 0.8860 0.1322 0.0182
Sn10 0.9957 0.2500 0.7457



(8)
This entry pairs a crystal structure of Eu3Sb5O12 with its calculated powder diffraction line list. Radiation: Cu Kα, 1.54184 Å. Structure: a structure optimized by DFT (GGA-PBE).

Main lines, in order of falling intensity (2θ = 5–70°):
d_spacing, 2theta, I_rel
3.188, 27.99, 1000
1.952, 46.52, 442
1.665, 55.17, 404
2.761, 32.43, 351
7.809, 11.33, 110
1.594, 57.85, 94
1.380, 67.90, 59
2.952, 30.28, 34
1.503, 61.72, 30
2.355, 38.22, 28

Crystal structure
Lattice parameters (Å, degrees): 9.5642 9.5642 9.5642 109.47 109.47 109.47
Positions (direct):
Eu1 0.2500 0.5000 0.7500
Eu2 0.2500 0.7500 0.5000
Eu3 0.5000 0.2500 0.7500
Eu4 0.5000 0.7500 0.2500
Eu5 0.7500 0.2500 0.5000
Eu6 0.7500 0.5000 0.2500
Sb1 0.0000 0.0000 0.4973
Sb2 0.0000 0.2768 0.2768
Sb3 0.0000 0.4973 0.0000
Sb4 0.0000 0.7232 0.7232
Sb5 0.2768 0.0000 0.2768
Sb6 0.2768 0.2768 0.0000
Sb7 0.4973 0.0000 0.0000
Sb8 0.5027 0.5027 0.5027
Sb9 0.7232 0.0000 0.7232
Sb10 0.7232 0.7232 0.0000
O1 0.0000 0.2833 0.4868
O2 0.0000 0.4868 0.2833
O3 0.0000 0.5299 0.8024
O4 0.0000 0.8024 0.5299
O5 0.1976 0.1976 0.7275
O6 0.1976 0.7275 0.1976
O7 0.2036 0.7167 0.7167
O8 0.2725 0.4701 0.4701
O9 0.2833 0.0000 0.4868
O10 0.2833 0.4868 0.0000
O11 0.4701 0.2725 0.4701
O12 0.4701 0.4701 0.2725
O13 0.4868 0.0000 0.2833
O14 0.4868 0.2833 0.0000
O15 0.5132 0.5132 0.7964
O16 0.5132 0.7964 0.5132
O17 0.5299 0.0000 0.8024
O18 0.5299 0.8024 0.0000
O19 0.7167 0.2036 0.7167
O20 0.7167 0.7167 0.2036
O21 0.7275 0.1976 0.1976
O22 0.7964 0.5132 0.5132
O23 0.8024 0.0000 0.5299
O24 0.8024 0.5299 0.0000



(9)
This entry pairs a crystal structure of Cs2GaSnAu6 with its calculated powder diffraction line list. Radiation: Cu Kα, 1.54184 Å. Structure: a structure optimized by DFT (GGA-PBE).

Main lines, in order of falling intensity (2θ = 5–70°):
d_spacing, 2theta, I_rel
2.612, 34.33, 1000
3.015, 29.63, 958
3.065, 29.13, 856
2.676, 33.49, 699
1.869, 48.72, 636
1.770, 51.64, 444
3.205, 27.83, 356
2.428, 37.02, 354
5.351, 16.57, 248
2.372, 37.93, 240

Crystal structure
Lattice parameters (Å, degrees): 7.4758 7.4758 7.2984 119.15 119.15 91.42
Positions (direct):
Cs1 0.2023 0.7977 0.0000
Cs2 0.7977 0.2023 0.0000
Ga1 0.5000 0.5000 0.5000
Sn1 0.0000 0.0000 0.5000
Au1 0.2600 0.7400 0.5000
Au2 0.3140 0.3140 0.0117
Au3 0.3147 0.3147 0.6179
Au4 0.6853 0.6853 0.3821
Au5 0.6860 0.6860 0.9883
Au6 0.7400 0.2600 0.5000



(10)
This entry pairs a crystal structure of MgCu3N3 with its calculated powder diffraction line list. Radiation: Cu Kα, 1.54184 Å. Structure: a structure optimized by DFT (GGA-PBE).

Main lines, in order of falling intensity (2θ = 5–70°):
d_spacing, 2theta, I_rel
2.388, 37.67, 1000
2.068, 43.77, 939
1.462, 63.63, 543
2.925, 30.57, 235
1.689, 54.33, 77
4.136, 21.48, 65
1.850, 49.26, 36
1.379, 67.99, 17

Crystal structure
Lattice parameters (Å, degrees): 4.1363 4.1363 4.1363 90.00 90.00 90.00
Positions (direct):
Mg1 0.0000 0.0000 0.0000
Cu1 0.0000 0.5000 0.5000
Cu2 0.5000 0.0000 0.5000
Cu3 0.5000 0.5000 0.0000
N1 0.0000 0.0000 0.5000
N2 0.0000 0.5000 0.0000
N3 0.5000 0.0000 0.0000



(11)
This entry pairs a crystal structure of AlMoW2 with its calculated powder diffraction line list. Radiation: Cu Kα, 1.54184 Å. Structure: a structure optimized by DFT (GGA-PBE).

Main lines, in order of falling intensity (2θ = 5–70°):
d_spacing, 2theta, I_rel
2.238, 40.31, 1000
2.233, 40.39, 995
2.227, 40.51, 986
4.468, 19.87, 820
1.582, 58.32, 339
2.578, 34.80, 209
2.002, 45.29, 189
2.568, 34.94, 175
1.572, 58.75, 166
1.689, 54.32, 121

Crystal structure
Lattice parameters (Å, degrees): 5.2384 5.2384 2.7418 100.22 100.22 117.16
Positions (direct):
Al1 0.0000 0.0000 0.0000
Mo1 0.5000 0.5000 0.0000
W1 0.0000 0.5000 0.5000
W2 0.5000 0.0000 0.5000



(12)
This entry pairs a crystal structure of La4Te with its calculated powder diffraction line list. Radiation: Cu Kα, 1.54184 Å. Structure: a structure optimized by DFT (GGA-PBE).

Main lines, in order of falling intensity (2θ = 5–70°):
d_spacing, 2theta, I_rel
3.020, 29.58, 1000
3.487, 25.55, 770
2.135, 42.33, 752
1.821, 50.09, 367
1.350, 69.62, 340
1.743, 52.49, 267
6.039, 14.67, 184
4.271, 20.80, 165
1.386, 67.61, 148
1.510, 61.41, 124

Crystal structure
Lattice parameters (Å, degrees): 6.0395 6.0395 6.0395 90.00 90.00 90.00
Positions (direct):
La1 0.0000 0.0000 0.0000
La2 0.0000 0.5000 0.5000
La3 0.5000 0.0000 0.5000
La4 0.5000 0.5000 0.0000
Te1 0.5000 0.5000 0.5000